(1)
Theoretical PXRD pattern
Compound: Al2Pb3Au9
Radiation: Cu Ka
Structure: a cell relaxed with PBE
Peak positions follow from Bragg's law for the DFT cell and can differ from measured ones.

Top 10 peaks for 10 to 80 degrees two-theta, low angle first:
two_theta, I/Imax
31.52, 36.3
33.53, 100.0
38.34, 73.0
53.85, 5.0
54.01, 23.8
56.64, 22.7
63.89, 11.5
66.27, 22.9
67.45, 11.8
70.47, 10.5

Atomic structure:
Cell: 6.501 6.501 8.514 Å, 90.00 90.00 120.00°
Sites, in units of the cell vectors:
1 Al 0.333 0.667 0.294
2 Al 0.667 0.333 0.706
3 Pb 0.000 0.000 0.500
4 Pb 0.333 0.667 0.817
5 Pb 0.667 0.333 0.183
6 Au 0.000 0.500 0.500
7 Au 0.148 0.296 0.140
8 Au 0.148 0.852 0.140
9 Au 0.296 0.148 0.860
10 Au 0.500 0.000 0.500
11 Au 0.500 0.500 0.500
12 Au 0.704 0.852 0.140
13 Au 0.852 0.148 0.860
14 Au 0.852 0.704 0.860

***

(2)
Theoretical PXRD pattern
Compound: SrCu2PbS4
Radiation: Cu Ka
Structure: a cell relaxed with PBE
Peak positions follow from Bragg's law for the DFT cell and can differ from measured ones.

Top 10 peaks for 10 to 80 degrees two-theta, low angle first:
two_theta, I/Imax
16.80, 37.3
19.47, 32.0
27.56, 81.0
27.80, 100.0
32.55, 18.5
33.97, 25.0
39.54, 43.5
48.87, 29.0
49.32, 26.0
52.11, 17.7

Atomic structure:
Cell: 6.474 6.474 15.657 Å, 90.00 90.00 120.00°
Sites, in units of the cell vectors:
1 Sr 0.000 0.580 0.333
2 Sr 0.420 0.420 0.000
3 Sr 0.580 0.000 0.667
4 Cu 0.062 0.618 0.087
5 Cu 0.382 0.445 0.754
6 Cu 0.445 0.382 0.246
7 Cu 0.555 0.938 0.420
8 Cu 0.618 0.062 0.913
9 Cu 0.938 0.555 0.580
10 Pb 0.000 0.695 0.833
11 Pb 0.305 0.305 0.500
12 Pb 0.695 0.000 0.167
13 S 0.058 0.464 0.708
14 S 0.125 0.370 0.179
15 S 0.245 0.875 0.512
16 S 0.370 0.125 0.821
17 S 0.406 0.942 0.041
18 S 0.464 0.058 0.292
19 S 0.536 0.594 0.375
20 S 0.594 0.536 0.625
21 S 0.630 0.755 0.845
22 S 0.755 0.630 0.155
23 S 0.875 0.245 0.488
24 S 0.942 0.406 0.959

***

(3)
Theoretical PXRD pattern
Compound: Pm6Sn2Te3Se
Radiation: Cu Ka
Structure: a cell relaxed with PBE
Peak positions follow from Bragg's law for the DFT cell and can differ from measured ones.

Top 10 peaks for 10 to 80 degrees two-theta, low angle first:
two_theta, I/Imax
28.38, 100.0
40.41, 37.7
40.72, 38.2
49.85, 6.5
50.38, 20.4
58.69, 8.4
66.27, 11.1
66.66, 11.7
73.27, 5.8
73.87, 8.5

Atomic structure:
Cell: 9.965 9.965 8.925 Å, 103.60 103.60 25.73°
Sites, in units of the cell vectors:
1 Pm 0.003 0.003 0.236
2 Pm 0.332 0.332 0.423
3 Pm 0.339 0.339 0.913
4 Pm 0.661 0.661 0.087
5 Pm 0.668 0.668 0.577
6 Pm 0.997 0.997 0.764
7 Sn 0.166 0.166 0.331
8 Sn 0.834 0.834 0.669
9 Te 0.167 0.167 0.834
10 Te 0.500 0.500 0.500
11 Te 0.833 0.833 0.166
12 Se 0.500 0.500 0.000

***

(4)
Theoretical PXRD pattern
Compound: In4Co3
Radiation: Cu Ka
Structure: a cell relaxed with PBE
Peak positions follow from Bragg's law for the DFT cell and can differ from measured ones.

Top 10 peaks for 10 to 80 degrees two-theta, low angle first:
two_theta, I/Imax
34.53, 72.8
38.73, 54.3
39.98, 100.0
40.08, 26.7
43.83, 42.5
61.87, 12.9
64.52, 13.1
64.67, 11.3
65.54, 43.8
72.82, 20.1

Atomic structure:
Cell: 5.195 5.195 5.213 Å, 90.00 90.00 120.00°
Sites, in units of the cell vectors:
1 In 0.000 0.000 0.246
2 In 0.000 0.000 0.754
3 In 0.333 0.667 0.500
4 In 0.667 0.333 0.500
5 Co 0.000 0.500 0.000
6 Co 0.500 0.000 0.000
7 Co 0.500 0.500 0.000

***

(5)
Theoretical PXRD pattern
Compound: CsRb6Hg
Radiation: Cu Ka
Structure: a cell relaxed with PBE
Peak positions follow from Bragg's law for the DFT cell and can differ from measured ones.

Top 10 peaks for 10 to 80 degrees two-theta, low angle first:
two_theta, I/Imax
21.98, 16.9
23.08, 100.0
24.00, 29.2
24.42, 15.1
24.96, 12.5
30.07, 14.7
31.22, 13.2
32.78, 16.7
32.97, 15.8
41.43, 13.4

Atomic structure:
Cell: 5.433 10.975 10.975 Å, 85.06 90.00 90.00°
Sites, in units of the cell vectors:
1 Cs 0.000 0.000 0.000
2 Rb 0.000 0.502 0.502
3 Rb 0.000 0.579 0.930
4 Rb 0.000 0.930 0.579
5 Rb 0.500 0.259 0.259
6 Rb 0.500 0.287 0.755
7 Rb 0.500 0.755 0.287
8 Hg 0.500 0.666 0.666